Diffraction record for LiSnPO4. The powder diffraction line list is theoretical, not measured: it uses the GGA-PBE geometry in the Materials Project and copper Kα.

```
data_LiSnPO4
_chemical_formula_sum 'Li4 Sn4 P4 O16'
_cell_length_a 4.8688
_cell_length_b 7.1695
_cell_length_c 10.8703
_cell_angle_alpha 90.00
_cell_angle_beta 90.00
_cell_angle_gamma 90.00
_symmetry_space_group_name_H-M 'P 21 21 21'
_symmetry_Int_Tables_number 19
loop_
_symmetry_equiv_pos_as_xyz
'x,y,z'
'-x+1/2,-y,z+1/2'
'x+1/2,-y+1/2,-z'
'-x,y+1/2,-z+1/2'
loop_
_atom_site_label
_atom_site_fract_x
_atom_site_fract_y
_atom_site_fract_z
Li1 0.0291 0.2443 0.2585
Sn1 0.0546 0.9950 0.5412
P1 0.1257 0.4880 0.6674
O1 0.1872 0.9775 0.8201
O2 0.2321 0.5078 0.2981
O3 0.2329 0.6652 0.5964
O4 0.2457 0.6814 0.0952
```

Largest 12 diffraction maxima, by intensity, 2θ from 15° to 90°:
2θ (°)	I (rel.)	(hkl)
23.56	100	1 1 1
24.84	65	0 2 0
33.26	58	1 1 3
16.31	30	0 0 2
35.32	30	0 1 4
50.91	26	0 4 0
42.97	23	1 3 1
30.76	21	1 0 3
48.19	21	2 2 2
37.89	20	2 0 1
19.98	20	1 0 1
39.95	19	1 2 3

Diffraction record for Li4SnP2O8. The powder diffraction line list is theoretical, not measured: it uses the GGA-PBE geometry in the Materials Project and copper Kα.

```
data_Li4SnP2O8
_chemical_formula_sum 'Li16 Sn4 P8 O32'
_cell_length_a 9.0188
_cell_length_b 10.4290
_cell_length_c 8.2783
_cell_angle_alpha 90.00
_cell_angle_beta 100.08
_cell_angle_gamma 90.00
_symmetry_space_group_name_H-M 'P 1 21/c 1'
_symmetry_Int_Tables_number 14
loop_
_symmetry_equiv_pos_as_xyz
'x,y,z'
'-x,-y,-z'
'-x,y+1/2,-z+1/2'
'x,-y+1/2,z+1/2'
loop_
_atom_site_label
_atom_site_fract_x
_atom_site_fract_y
_atom_site_fract_z
Li1 0.0210 0.0777 0.2693
Li2 0.0986 0.1592 0.6044
Li3 0.1437 0.6639 0.6465
Li4 0.3281 0.1543 0.3416
Sn1 0.4135 0.6468 0.4059
P1 0.1793 0.0966 0.9532
P2 0.2513 0.5929 0.0146
O1 0.0413 0.0951 0.8107
O2 0.1206 0.6517 0.0897
O3 0.1405 0.1555 0.1138
O4 0.2128 0.0471 0.4643
O5 0.2249 0.5488 0.4913
O6 0.2761 0.6734 0.8605
O7 0.3078 0.1701 0.8953
O8 0.4051 0.6052 0.1402
```

Largest 12 diffraction maxima, by intensity, 2θ from 15° to 90°:
2θ (°)	I (rel.)	(hkl)
21.76	100	0 0 2
29.93	32	2 2 1
15.88	28	1 1 -1
34.40	24	0 4 0
32.31	23	2 0 2
27.01	20	1 1 2
32.07	19	2 2 -2
29.02	19	1 3 -1
33.42	18	2 3 -1
22.35	18	1 0 -2
31.45	17	3 1 0
22.72	16	2 1 -1

Diffraction record for LiSnP2O7. The powder diffraction line list is theoretical, not measured: it uses the GGA-PBE geometry in the Materials Project and copper Kα.

```
data_LiSnP2O7
_chemical_formula_sum 'Li8 Sn8 P16 O56'
_cell_length_a 7.1196
_cell_length_b 12.9092
_cell_length_c 12.4945
_cell_angle_alpha 90.00
_cell_angle_beta 90.44
_cell_angle_gamma 90.00
_symmetry_space_group_name_H-M 'C 1 c 1'
_symmetry_Int_Tables_number 9
loop_
_symmetry_equiv_pos_as_xyz
'x,y,z'
'x,-y,z+1/2'
'x+1/2,y+1/2,z'
'x+1/2,-y+1/2,z+1/2'
loop_
_atom_site_label
_atom_site_fract_x
_atom_site_fract_y
_atom_site_fract_z
Li1 0.0000 0.2140 0.0000
Li2 0.0183 0.2294 0.2642
Sn1 0.1632 0.0007 0.3754
Sn2 0.3703 0.4903 0.1305
P1 0.1787 0.4054 0.3660
P2 0.2244 0.3783 0.9007
P3 0.2847 0.1208 0.6074
P4 0.3366 0.0988 0.1416
O1 0.0004 0.3343 0.6173
O2 0.0225 0.3290 0.3794
O3 0.0886 0.4788 0.8802
O4 0.1077 0.0994 0.6778
O5 0.1168 0.2820 0.8782
O6 0.1611 0.0988 0.0625
O7 0.2328 0.1186 0.4875
O8 0.2510 0.1135 0.2549
O9 0.2509 0.3987 0.2490
O10 0.2832 0.3823 0.0209
O11 0.3462 0.4035 0.4469
O12 0.3968 0.2160 0.6350
O13 0.3989 0.3998 0.8276
O14 0.4169 0.0210 0.6336
```

Largest 12 diffraction maxima, by intensity, 2θ from 15° to 90°:
2θ (°)	I (rel.)	(hkl)
28.59	100	0 0 4
28.08	75	1 3 -2
39.84	73	1 5 -2
28.18	70	1 3 2
28.77	68	2 0 -2
31.83	53	0 2 4
28.97	53	2 0 2
32.18	51	2 2 2
32.00	47	2 2 -2
24.17	44	1 3 0
40.47	33	2 4 2
40.32	23	2 4 -2